For PmNpCr2O6, a DFT-relaxed cell (GGA+U, Alexandria) gives the simulated powder diffractogram in this record (Cu Kα).
Peak positions follow from Bragg's law for the DFT cell and can differ from measured ones.

Principal peaks in the range 2θ = 5–70°, in order of falling intensity:
2.815 Å, rel. 100; 3.962 Å, rel. 94; 2.939 Å, rel. 55; 2.922 Å, rel. 52; 4.166 Å, rel. 50; 2.851 Å, rel. 48; 2.754 Å, rel. 47; 1.618 Å, rel. 29; 2.291 Å, rel. 29; 2.083 Å, rel. 24

Cell and atoms:
abc: 5.507 5.628 5.713
angles: 62.23 89.84 60.92
Atoms (fractional coordinates):
1 Pm 0.000 0.000 0.000
2 Np 0.520 0.969 0.542
3 Cr 0.223 0.561 0.648
4 Cr 0.734 0.535 0.179
5 O 0.110 0.027 0.391
6 O 0.348 0.098 0.846
7 O 0.443 0.464 0.380
8 O 0.571 0.491 0.866
9 O 0.855 0.708 0.378
10 O 0.944 0.691 0.871